# 1
Simulated PXRD pattern
Compound: LaCe3Ho2S6
Radiation: λ = 1.5418 Å (Cu Kα)
Structure: a cell relaxed with PBE
Peak positions follow from Bragg's law for the DFT cell and can differ from measured ones.

The 10 most intense peaks (2θ = 10–80°), low angle first:
d [Å]  intensity  hkl
3.279  19.1  0 0 2
3.265  56.8  2 0 0
2.831  100.0  2 0 -2
2.005  36.2  2 0 2
1.999  35.7  3 3 -1
1.707  18.8  3 3 1
1.633  18.5  4 0 0
1.415  11.4  4 0 -4
1.268  10.6  3 3 -5
1.264  15.6  5 3 -3

Structure:
Unit cell a=6.9212 b=11.9954 c=6.9568 alpha=90.00 beta=109.47 gamma=90.00
Space group C2/m (No. 12)
Inequivalent atoms, fractional coordinates:
La  0.0000  0.0000  0.0000 [2 per cell]
Ce  0.0000  0.1624  0.5000 [4 per cell]
Ce  0.0000  0.5000  0.5000 [2 per cell]
Ho  0.0000  0.3329  0.0000 [4 per cell]
S  0.2342  0.5000  0.2397 [4 per cell]
S  0.2456  0.3272  0.7554 [8 per cell]

# 2
Simulated PXRD pattern
Compound: InSnBr2Cl
Radiation: λ = 1.5418 Å (Cu Kα)
Structure: a cell relaxed with PBE
Peak positions follow from Bragg's law for the DFT cell and can differ from measured ones.

The 10 most intense peaks (2θ = 10–80°), low angle first:
d [Å]  intensity  hkl
5.654  39.4  0 0 2
4.056  45.9  2 0 0
4.027  76.8  1 1 2
3.455  56.0  2 1 1
3.296  31.8  2 0 2
2.868  69.2  2 2 0
2.827  48.7  0 0 4
2.336  100.0  3 1 2
2.013  41.3  2 2 4
1.351  35.5  6 0 0

Structure:
Unit cell a=8.1127 b=8.1127 c=11.3082 alpha=90.00 beta=90.00 gamma=90.00
Space group I4cm (No. 108)
Inequivalent atoms, fractional coordinates:
In  0.0000  0.5000  0.0000 [4 per cell]
Sn  0.0000  0.0000  0.2845 [4 per cell]
Br  0.1767  0.3233  0.2867 [8 per cell]
Cl  0.0000  0.0000  0.0158 [4 per cell]

# 3
Simulated PXRD pattern
Compound: Tb4CePr7
Radiation: λ = 1.5418 Å (Cu Kα)
Structure: a cell relaxed with PBE
Peak positions follow from Bragg's law for the DFT cell and can differ from measured ones.

The 10 most intense peaks (2θ = 10–80°), low angle first:
d [Å]  intensity  hkl
3.063  54.1  2 0 0
2.970  24.6  1 1 -3
2.925  49.6  1 -2 0
2.914  77.2  1 2 0
2.906  48.5  1 -2 2
2.850  100.0  1 0 -3
2.840  44.8  0 2 -3
2.819  56.6  1 0 3
2.775  25.0  2 1 0
2.586  27.9  -2 1 1

Structure:
Unit cell a=6.1264 b=7.0616 c=10.2145 alpha=110.05 beta=90.77 gamma=90.01
Space group P-1 (No. 2)
Inequivalent atoms, fractional coordinates:
Tb  0.2397  0.3708  0.2706 [2 per cell]
Tb  0.2406  0.9011  0.2705 [2 per cell]
Ce  0.0000  0.5000  0.0000 [1 per cell]
Pr  0.2409  0.3124  0.6285 [2 per cell]
Pr  0.2466  0.9636  0.9265 [2 per cell]
Pr  0.2699  0.7860  0.5748 [2 per cell]
Pr  0.5000  0.5000  0.0000 [1 per cell]